Record 1
The following is a computed PXRD pattern of LaTb4Sm7. It was derived from a PBE-relaxed structure, using Cu Kα (λ = 1.5418 Å).
Peak positions follow from Bragg's law for the DFT cell and can differ from measured ones.

Cell and atoms:
```
12
Lattice="6.3203 0.0000 0.0000 0.0005 7.2952 0.0000 2.1265 0.0035 8.7469" Properties=species:S:1:pos:R:3 pbc="T T T"
La 0.0000 0.0000 0.0000
Tb 2.0964 3.6478 2.9253
Tb 3.1782 1.8464 5.8209
Tb 5.2691 5.4523 2.9259
Tb 6.3509 3.6509 5.8216
Sm 0.0002 3.6476 0.0000
Sm 2.1183 7.2943 2.9295
Sm 3.1799 5.4587 5.8119
Sm 5.2872 1.8475 8.7439
Sm 3.1601 5.4512 0.0030
Sm 5.2674 1.8400 2.9350
Sm 6.3289 0.0044 5.8173
```

Top 12 peaks for 5 to 70 degrees two-theta, in order of rising 2θ:
2theta, I (rel.)
28.45, 36
29.07, 17
30.66, 51
31.43, 100
33.09, 90
50.00, 39
53.88, 14
57.14, 19
59.78, 31
59.86, 15
60.26, 16
61.28, 15

***

Record 2
The following is a computed PXRD pattern of La5Tb2Sm12. It was derived from a PBE-relaxed structure, using Cu Kα (λ = 1.5418 Å).
Peak positions follow from Bragg's law for the DFT cell and can differ from measured ones.

Cell and atoms:
```
19
Lattice="9.0909 -5.9409 0.0000 9.0909 5.9409 0.0000 -1.4078 0.0000 6.1121" Properties=species:S:1:pos:R:3 pbc="T T T"
La 0.0000 0.0000 0.0000
La 3.8158 0.0000 0.3208
La 5.0105 0.0000 3.9522
La 11.7635 0.0000 2.1599
La 12.9582 0.0000 5.7912
Tb 8.3870 3.2514 3.0560
Tb 8.3870 -3.2514 3.0560
Sm 5.0760 2.9314 1.8357
Sm 1.5118 0.0000 3.0278
Sm 5.9958 2.9050 5.3943
Sm 10.7781 2.9050 0.7178
Sm 7.8412 0.0000 1.3764
Sm 11.6979 2.9314 4.2764
Sm 5.0760 -2.9314 1.8357
Sm 8.9328 0.0000 4.7357
Sm 5.9958 -2.9050 5.3943
Sm 10.7781 -2.9050 0.7178
Sm 15.2621 0.0000 3.0842
Sm 11.6979 -2.9314 4.2764
```

Top 12 peaks for 5 to 70 degrees two-theta, in order of rising 2θ:
2theta, I (rel.)
27.16, 29
29.50, 21
30.08, 57
30.52, 21
31.33, 100
32.48, 46
34.13, 19
34.68, 17
43.39, 15
48.04, 16
54.21, 20
57.71, 10

***

Record 3
The following is a computed PXRD pattern of La3Tb4Sm4. It was derived from a PBE-relaxed structure, using Cu Kα (λ = 1.5418 Å).
Peak positions follow from Bragg's law for the DFT cell and can differ from measured ones.

Cell and atoms:
```
11
Lattice="10.8279 0.0000 0.0000 0.0000 2.9036 6.1002 0.0000 -2.9036 6.1002" Properties=species:S:1:pos:R:3 pbc="T T T"
La 0.0000 0.0000 0.0000
La 3.1456 0.0000 1.9053
La 7.6823 0.0000 1.9053
Tb 0.0000 0.0000 3.6930
Tb 3.2798 0.0000 10.4027
Tb 5.4140 0.0000 4.4057
Tb 7.5481 0.0000 10.4027
Sm 0.0000 0.0000 8.5735
Sm 2.3300 0.0000 6.0387
Sm 5.4140 0.0000 7.7154
Sm 8.4979 0.0000 6.0387
```

Top 12 peaks for 5 to 70 degrees two-theta, in order of rising 2θ:
2theta, I (rel.)
30.06, 29
30.45, 15
30.79, 38
31.53, 100
33.09, 16
43.85, 11
44.56, 7
45.83, 13
51.77, 10
55.20, 27
61.17, 13
61.46, 12